1.
# Nd2Sm2Dy3
Calculated powder diffractogram, Cu Kα (weighted mean of Kα1 and Kα2). Input: the PBE geometry in Alexandria.
Intensities are scaled so that the largest is 100.

```
14
Lattice="6.2469 0.0000 0.0000 -1.0254 6.1635 0.0000 -2.0919 -2.4721 12.0505" Properties=species:S:1:pos:R:3 pbc="T T T"
Nd 0.0025 1.5788 0.8670
Nd -1.0255 3.5217 8.5875
Nd 4.1551 0.1697 3.4630
Nd 3.1271 2.1126 11.1835
Sm 0.0008 0.5121 10.3138
Sm 1.0397 1.7665 4.3242
Sm 2.0899 1.9249 7.7263
Sm 3.1288 3.1793 1.7367
Dy -1.0414 0.3434 6.8803
Dy 0.0078 4.7528 2.6031
Dy 3.1234 0.0000 0.0000
Dy 2.0775 -1.2360 6.0252
Dy 3.1218 -1.0615 9.4474
Dy 4.1710 3.3479 5.1702
```

Peak list (10 most intense, 2θ = 10–90°, sorted by position)
d (Å)	2θ/deg	intensity
2.944	30.4	100
2.551	35.2	34
2.546	35.2	17
1.803	50.6	30
1.801	50.7	6
1.539	60.1	14
1.536	60.2	29
1.472	63.2	12
1.169	82.5	10
1.139	85.2	10

***

2.
# HoPaTeP
Calculated powder diffractogram, Cu Kα (weighted mean of Kα1 and Kα2). Input: the PBE geometry in Alexandria.
Intensities are scaled so that the largest is 100.

```
12
Lattice="4.0028 0.0000 0.0000 -2.0014 3.4666 0.0000 0.0000 0.0000 22.1019" Properties=species:S:1:pos:R:3 pbc="T T T"
Ho 0.0000 0.0000 0.0000
Ho 0.0000 2.3110 14.7346
Ho 2.0014 1.1555 7.3673
Pa 0.0000 0.0000 17.7955
Pa 0.0000 2.3110 10.4282
Pa 2.0014 1.1555 3.0609
Te 0.0000 0.0000 5.2111
Te 0.0000 2.3110 19.9457
Te 2.0014 1.1555 12.5784
P 0.0000 0.0000 8.8898
P 0.0000 2.3110 1.5225
P 2.0014 1.1555 16.2571
```

Peak list (10 most intense, 2θ = 10–90°, sorted by position)
d (Å)	2θ/deg	intensity
3.425	26.0	41
3.308	27.0	26
2.936	30.4	56
2.728	32.8	100
2.334	38.6	24
2.001	45.3	50
1.864	48.9	19
1.614	57.1	21
1.551	59.6	21
1.256	75.7	18

***

3.
# PuRhO4
Calculated powder diffractogram, Cu Kα (weighted mean of Kα1 and Kα2). Input: the PBE geometry in Alexandria.
Intensities are scaled so that the largest is 100.

```
12
Lattice="-3.1123 3.5027 4.2041 3.1123 -3.5027 4.2041 3.1123 3.5027 -4.2041" Properties=species:S:1:pos:R:3 pbc="T T T"
Pu 0.0000 0.0000 0.0000
Pu 0.0000 3.5027 0.0000
Rh -1.5562 1.7514 2.1020
Rh 1.5562 1.7514 2.1020
O 1.3236 1.7514 0.0400
O 1.7888 -1.7514 4.2441
O 0.0000 0.3932 2.1024
O 3.1123 0.3932 2.1017
O 0.0000 3.1096 2.1024
O 3.1123 3.1096 2.1017
O 1.3236 5.2541 -0.0400
O 1.7888 1.7514 4.1641
```

Peak list (10 most intense, 2θ = 10–90°, sorted by position)
d (Å)	2θ/deg	intensity
5.382	16.5	31
5.003	17.7	100
2.869	31.2	45
2.692	33.3	36
2.556	35.1	19
2.501	35.9	23
2.327	38.7	38
2.102	43.0	15
2.065	43.9	18
1.560	59.2	21

***

4.
# Pm2Zn3Ag5
Calculated powder diffractogram, Cu Kα (weighted mean of Kα1 and Kα2). Input: the PBE geometry in Alexandria.
Intensities are scaled so that the largest is 100.

```
20
Lattice="2.2815 -12.5395 0.0000 2.2815 12.5395 0.0000 0.0000 0.0000 7.1761" Properties=species:S:1:pos:R:3 pbc="T T T"
Pm 2.2815 12.0564 3.5880
Pm 2.2815 4.3638 3.6221
Pm 2.2815 -4.3638 0.0341
Pm 2.2815 -12.0564 0.0000
Zn 2.2815 9.8920 1.3442
Zn 2.2815 5.8197 0.1027
Zn 2.2815 1.2982 2.1966
Zn 2.2815 -1.2982 5.7846
Zn 2.2815 -5.8197 3.6907
Zn 2.2815 -9.8920 4.9322
Ag 2.2815 9.9018 5.7946
Ag 2.2815 7.4132 2.2612
Ag 2.2815 7.2377 5.0640
Ag 2.2815 3.1165 0.0944
Ag 2.2815 1.3011 5.0064
Ag 2.2815 -1.3011 1.4184
Ag 2.2815 -3.1165 3.6824
Ag 2.2815 -7.2377 1.4760
Ag 2.2815 -7.4132 5.8493
Ag 2.2815 -9.9018 2.2066
```

Peak list (10 most intense, 2θ = 10–90°, sorted by position)
d (Å)	2θ/deg	intensity
2.723	32.9	15
2.672	33.5	100
2.623	34.2	63
2.378	37.8	28
2.367	38.0	20
2.281	39.5	44
2.235	40.4	24
1.642	56.0	16
1.597	57.7	16
1.426	65.4	22

***

5.
# SrSi3Pt2
Calculated powder diffractogram, Cu Kα (weighted mean of Kα1 and Kα2). Input: the PBE geometry in Alexandria.
Intensities are scaled so that the largest is 100.

```
18
Lattice="8.1579 -2.0872 0.0000 8.1579 2.0872 0.0000 -2.5349 0.0000 9.4819" Properties=species:S:1:pos:R:3 pbc="T T T"
Sr 0.0000 0.0000 0.0000
Sr 0.7465 0.0000 6.6937
Sr 13.0343 0.0000 2.7882
Si -0.2042 0.0000 3.5251
Si 2.6228 0.0000 3.5288
Si 5.5298 0.0000 0.5474
Si 3.9052 0.0000 7.7619
Si 6.8904 0.0000 4.7410
Si 9.8757 0.0000 1.7200
Si 8.2511 0.0000 8.9345
Si 11.1581 0.0000 5.9531
Si 13.9851 0.0000 5.9569
Pt 2.9980 0.0000 1.0355
Pt 4.2689 0.0000 5.3137
Pt 7.3923 0.0000 2.2483
Pt 6.3886 0.0000 7.2336
Pt 9.5120 0.0000 4.1682
Pt 10.7829 0.0000 8.4464
```

Peak list (10 most intense, 2θ = 10–90°, sorted by position)
d (Å)	2θ/deg	intensity
3.255	27.4	50
3.236	27.6	47
3.178	28.1	95
2.919	30.6	55
2.627	34.1	56
2.568	34.9	100
2.509	35.8	72
2.087	43.4	67
1.982	45.8	41
1.936	46.9	42

***

6.
# AlTcN
Calculated powder diffractogram, Cu Kα (weighted mean of Kα1 and Kα2). Input: the PBE geometry in Alexandria.
Intensities are scaled so that the largest is 100.

```
6
Lattice="1.6675 0.9628 8.4860 -1.6675 0.9628 8.4860 0.0000 -1.9255 8.4860" Properties=species:S:1:pos:R:3 pbc="T T T"
Al 0.0000 0.0000 3.2664
Al 0.0000 0.0000 22.1918
Tc 0.0000 0.0000 7.1748
Tc 0.0000 0.0000 18.2834
N 0.0000 0.0000 9.3334
N 0.0000 0.0000 16.1248
```

Peak list (10 most intense, 2θ = 10–90°, sorted by position)
d (Å)	2θ/deg	intensity
8.486	10.4	100
2.829	31.6	24
2.817	31.8	85
2.512	35.7	61
2.262	39.9	59
2.122	42.6	17
1.668	55.1	37
1.539	60.1	17
1.436	64.9	27
1.311	72.0	20

***

7.
# Hf4Ti2Pb3
Calculated powder diffractogram, Cu Kα (weighted mean of Kα1 and Kα2). Input: the PBE geometry in Alexandria.
Intensities are scaled so that the largest is 100.

```
18
Lattice="7.1705 -5.1504 0.0000 7.1705 5.1504 0.0000 -0.8517 0.0000 5.2802" Properties=species:S:1:pos:R:3 pbc="T T T"
Hf 5.5302 3.8387 5.1291
Hf 3.9446 1.2419 0.7025
Hf 7.5332 3.8387 2.7912
Hf 3.5188 -1.2419 3.3426
Hf 9.9706 1.2419 1.9376
Hf 5.9561 -3.8387 2.4890
Hf 9.5447 -1.2419 4.5777
Hf 7.9591 -3.8387 0.1511
Ti 5.0343 1.3065 3.6573
Ti 8.0292 1.3065 4.2630
Ti 5.4602 -1.3065 1.0172
Ti 8.4550 -1.3065 1.6229
Pb 1.9272 1.3307 3.0523
Pb 2.3531 -1.3307 0.4122
Pb 6.9576 1.2089 1.3201
Pb 6.5317 -1.2089 3.9602
Pb 11.1363 1.3307 4.8680
Pb 11.5621 -1.3307 2.2279
```

Peak list (10 most intense, 2θ = 10–90°, sorted by position)
d (Å)	2θ/deg	intensity
2.590	34.6	100
2.575	34.8	49
2.422	37.1	83
2.112	42.8	29
2.109	42.9	27
1.633	56.3	13
1.632	56.4	13
1.469	63.3	17
1.456	64.0	17
1.289	73.4	11

***

8.
# NdErB12
Calculated powder diffractogram, Cu Kα (weighted mean of Kα1 and Kα2). Input: the PBE geometry in Alexandria.
Intensities are scaled so that the largest is 100.

```
14
Lattice="4.1104 0.0000 0.0000 0.0000 4.1104 0.0000 0.0000 0.0000 8.2237" Properties=species:S:1:pos:R:3 pbc="T T T"
Nd 0.0000 0.0000 0.0000
Er 0.0000 0.0000 4.1118
B 0.8187 2.0552 2.0747
B 0.8187 2.0552 6.1490
B 2.0552 0.8187 2.0747
B 2.0552 0.8187 6.1490
B 2.0552 2.0552 0.8259
B 2.0552 2.0552 3.3011
B 2.0552 2.0552 4.9226
B 2.0552 2.0552 7.3978
B 2.0552 3.2918 2.0747
B 2.0552 3.2918 6.1490
B 3.2918 2.0552 2.0747
B 3.2918 2.0552 6.1490
```

Peak list (10 most intense, 2θ = 10–90°, sorted by position)
d (Å)	2θ/deg	intensity
4.111	21.6	68
2.907	30.8	100
2.373	37.9	42
2.055	44.1	21
1.838	49.6	50
1.678	54.7	28
1.370	68.5	28
1.300	72.7	20
1.239	76.9	13
1.099	89.1	18